[1]
Calculated powder X-ray diffraction pattern of AlFe2Re for Cu Kα (weighted mean of Kα1 and Kα2), from DFT lattice parameters and positions (PBE).
Lines closer than 0.1° are merged.

Top 6 peaks for 2θ from 10° to 80°, sorted by position:
4.811 Å, intensity 68; 4.114 Å, intensity 70; 2.113 Å, intensity 100; 2.092 Å, intensity 49; 2.077 Å, intensity 99; 2.057 Å, intensity 49

Cell and atoms:
Lattice parameters (Å, degrees): 2.602 4.114 4.905 90.00 101.27 90.00
Element x y z (fractional)
Al  0.000  0.000  0.000
Fe  0.570  0.000  0.481
Fe  0.708  0.500  0.219
Re  0.296  0.500  0.712



[2]
Calculated powder X-ray diffraction pattern of AlFe3Rh4 for Cu Kα (weighted mean of Kα1 and Kα2), from DFT lattice parameters and positions (PBE).
Lines closer than 0.1° are merged.

Top 6 peaks for 2θ from 10° to 80°, sorted by position:
3.013 Å, intensity 16; 2.133 Å, intensity 25; 2.128 Å, intensity 25; 2.123 Å, intensity 100; 1.506 Å, intensity 16; 1.227 Å, intensity 16

Cell and atoms:
Lattice parameters (Å, degrees): 2.992 4.255 8.532 90.00 90.00 90.00
Element x y z (fractional)
Al  0.000  0.000  0.000
Fe  0.000  0.000  0.500
Fe  0.000  0.500  0.253
Fe  0.000  0.500  0.747
Rh  0.500  0.000  0.246
Rh  0.500  0.000  0.754
Rh  0.500  0.500  0.000
Rh  0.500  0.500  0.500



[3]
Calculated powder X-ray diffraction pattern of Al8FeRh2 for Cu Kα (weighted mean of Kα1 and Kα2), from DFT lattice parameters and positions (PBE).
Lines closer than 0.1° are merged.

Top 6 peaks for 2θ from 10° to 80°, sorted by position:
3.717 Å, intensity 23; 3.564 Å, intensity 56; 3.232 Å, intensity 28; 2.179 Å, intensity 100; 2.148 Å, intensity 29; 2.030 Å, intensity 28

Cell and atoms:
Lattice parameters (Å, degrees): 6.849 6.849 6.849 145.51 114.27 76.39
Element x y z (fractional)
Al  0.122  0.343  0.779
Al  0.135  0.135  0.000
Al  0.318  0.000  0.318
Al  0.436  0.657  0.779
Al  0.564  0.343  0.221
Al  0.682  0.000  0.682
Al  0.865  0.865  0.000
Al  0.878  0.657  0.221
Fe  0.000  0.500  0.500
Rh  0.297  0.797  0.500
Rh  0.703  0.203  0.500



[4]
Calculated powder X-ray diffraction pattern of Al6Fe5Rh for Cu Kα (weighted mean of Kα1 and Kα2), from DFT lattice parameters and positions (PBE).
Lines closer than 0.1° are merged.

Top 6 peaks for 2θ from 10° to 80°, sorted by position:
2.921 Å, intensity 13; 2.890 Å, intensity 25; 2.054 Å, intensity 100; 2.043 Å, intensity 49; 1.674 Å, intensity 9; 1.445 Å, intensity 15

Cell and atoms:
Lattice parameters (Å, degrees): 6.463 6.463 5.842 90.00 90.00 143.15
Element x y z (fractional)
Al  0.000  0.000  0.239
Al  0.000  0.000  0.761
Al  0.333  0.667  0.238
Al  0.333  0.667  0.762
Al  0.667  0.333  0.238
Al  0.667  0.333  0.762
Fe  0.167  0.833  0.000
Fe  0.174  0.826  0.500
Fe  0.500  0.500  0.000
Fe  0.826  0.174  0.500
Fe  0.833  0.167  0.000
Rh  0.500  0.500  0.500



[5]
Calculated powder X-ray diffraction pattern of Al8Fe2Rh for Cu Kα (weighted mean of Kα1 and Kα2), from DFT lattice parameters and positions (PBE).
Lines closer than 0.1° are merged.

Top 6 peaks for 2θ from 10° to 80°, sorted by position:
3.604 Å, intensity 63; 3.416 Å, intensity 66; 2.258 Å, intensity 84; 2.198 Å, intensity 50; 2.174 Å, intensity 100; 2.069 Å, intensity 52

Cell and atoms:
Lattice parameters (Å, degrees): 4.525 5.227 7.281 69.00 85.15 89.98
Element x y z (fractional)
Al  0.000  0.000  0.000
Al  0.011  0.504  0.964
Al  0.081  0.417  0.591
Al  0.269  0.950  0.360
Al  0.455  0.647  0.129
Al  0.525  0.107  0.756
Al  0.537  0.640  0.719
Al  0.769  0.229  0.359
Fe  0.016  0.917  0.669
Fe  0.521  0.227  0.050
Rh  0.770  0.727  0.359



[6]
Calculated powder X-ray diffraction pattern of AlFe2Ru for Cu Kα (weighted mean of Kα1 and Kα2), from DFT lattice parameters and positions (PBE).
Lines closer than 0.1° are merged.

Top 6 peaks for 2θ from 10° to 80°, sorted by position:
4.062 Å, intensity 14; 2.098 Å, intensity 100; 2.088 Å, intensity 25; 2.031 Å, intensity 22; 1.456 Å, intensity 14; 1.207 Å, intensity 15

Cell and atoms:
Lattice parameters (Å, degrees): 4.811 4.811 4.811 143.34 128.57 64.81
Element x y z (fractional)
Al  0.000  0.000  0.000
Fe  0.254  0.754  0.500
Fe  0.487  0.487  0.000
Ru  0.741  0.241  0.500



[7]
Calculated powder X-ray diffraction pattern of TiAl2FeRu for Cu Kα (weighted mean of Kα1 and Kα2), from DFT lattice parameters and positions (PBE).
Lines closer than 0.1° are merged.

Top 6 peaks for 2θ from 10° to 80°, sorted by position:
4.326 Å, intensity 100; 3.059 Å, intensity 77; 2.523 Å, intensity 78; 2.231 Å, intensity 44; 2.163 Å, intensity 81; 1.553 Å, intensity 54

Cell and atoms:
Lattice parameters (Å, degrees): 4.326 4.326 4.462 90.00 90.00 90.00
Element x y z (fractional)
Ti  0.000  0.000  0.000
Al  0.000  0.500  0.500
Al  0.500  0.000  0.500
Fe  0.500  0.500  0.500
Ru  0.500  0.500  0.000



[8]
Calculated powder X-ray diffraction pattern of Al2FeS4 for Cu Kα (weighted mean of Kα1 and Kα2), from DFT lattice parameters and positions (PBE).
Lines closer than 0.1° are merged.

Top 6 peaks for 2θ from 10° to 80°, sorted by position:
4.109 Å, intensity 75; 3.079 Å, intensity 100; 2.587 Å, intensity 54; 1.802 Å, intensity 82; 1.785 Å, intensity 73; 1.651 Å, intensity 42

Cell and atoms:
Lattice parameters (Å, degrees): 12.501 12.501 12.501 16.58 16.58 16.58
Element x y z (fractional)
Al  0.000  0.000  0.000
Al  0.235  0.235  0.235
Fe  0.472  0.472  0.472
S  0.115  0.115  0.115
S  0.359  0.359  0.359
S  0.536  0.536  0.536
S  0.940  0.940  0.940



[9]
Calculated powder X-ray diffraction pattern of Sc8AlFe4 for Cu Kα (weighted mean of Kα1 and Kα2), from DFT lattice parameters and positions (PBE).
Lines closer than 0.1° are merged.

Top 6 peaks for 2θ from 10° to 80°, sorted by position:
4.706 Å, intensity 47; 2.723 Å, intensity 24; 2.369 Å, intensity 50; 2.355 Å, intensity 100; 2.116 Å, intensity 88; 2.105 Å, intensity 43

Cell and atoms:
Lattice parameters (Å, degrees): 7.198 7.198 7.198 98.34 98.34 135.24
Element x y z (fractional)
Sc  0.000  0.212  0.212
Sc  0.000  0.788  0.788
Sc  0.181  0.500  0.681
Sc  0.212  0.000  0.212
Sc  0.500  0.181  0.681
Sc  0.500  0.819  0.319
Sc  0.788  0.000  0.788
Sc  0.819  0.500  0.319
Al  0.500  0.500  0.000
Fe  0.000  0.000  0.500
Fe  0.000  0.500  0.000
Fe  0.500  0.000  0.000
Fe  0.500  0.500  0.500



[10]
Calculated powder X-ray diffraction pattern of Sc6AlFe2 for Cu Kα (weighted mean of Kα1 and Kα2), from DFT lattice parameters and positions (PBE).
Lines closer than 0.1° are merged.

Top 6 peaks for 2θ from 10° to 80°, sorted by position:
6.169 Å, intensity 75; 2.576 Å, intensity 88; 2.434 Å, intensity 70; 2.388 Å, intensity 81; 2.349 Å, intensity 100; 2.338 Å, intensity 69

Cell and atoms:
Lattice parameters (Å, degrees): 7.746 7.746 7.746 112.03 110.86 105.59
Element x y z (fractional)
Sc  0.039  0.242  0.797
Sc  0.185  0.281  0.466
Sc  0.185  0.719  0.904
Sc  0.327  0.018  0.691
Sc  0.327  0.637  0.309
Sc  0.445  0.242  0.203
Sc  0.555  0.758  0.797
Sc  0.673  0.363  0.691
Sc  0.673  0.982  0.309
Sc  0.815  0.281  0.096
Sc  0.815  0.719  0.534
Sc  0.961  0.758  0.203
Al  0.000  0.000  0.000
Al  0.500  0.500  0.000
Fe  0.116  0.616  0.500
Fe  0.330  0.000  0.330
Fe  0.670  0.000  0.670
Fe  0.884  0.384  0.500



[11]
Calculated powder X-ray diffraction pattern of ScAl12Fe5 for Cu Kα (weighted mean of Kα1 and Kα2), from DFT lattice parameters and positions (PBE).
Lines closer than 0.1° are merged.

Top 6 peaks for 2θ from 10° to 80°, sorted by position:
4.060 Å, intensity 80; 2.333 Å, intensity 55; 2.284 Å, intensity 82; 2.088 Å, intensity 100; 2.053 Å, intensity 90; 2.030 Å, intensity 60

Cell and atoms:
Lattice parameters (Å, degrees): 7.082 7.082 7.082 116.95 110.04 101.77
Element x y z (fractional)
Sc  0.000  0.000  0.000
Al  0.126  0.831  0.295
Al  0.226  0.321  0.547
Al  0.226  0.679  0.904
Al  0.259  0.066  0.806
Al  0.259  0.453  0.194
Al  0.464  0.169  0.295
Al  0.536  0.831  0.705
Al  0.741  0.547  0.806
Al  0.741  0.934  0.194
Al  0.774  0.321  0.096
Al  0.774  0.679  0.453
Al  0.874  0.169  0.705
Fe  0.134  0.634  0.500
Fe  0.500  0.167  0.667
Fe  0.500  0.500  0.000
Fe  0.500  0.833  0.333
Fe  0.866  0.366  0.500



[12]
Calculated powder X-ray diffraction pattern of Sc4Al8Fe for Cu Kα (weighted mean of Kα1 and Kα2), from DFT lattice parameters and positions (PBE).
Lines closer than 0.1° are merged.

Top 6 peaks for 2θ from 10° to 80°, sorted by position:
4.466 Å, intensity 35; 2.662 Å, intensity 100; 2.320 Å, intensity 38; 2.287 Å, intensity 91; 2.233 Å, intensity 73; 1.711 Å, intensity 29

Cell and atoms:
Lattice parameters (Å, degrees): 7.133 7.133 7.133 102.48 102.48 124.59
Element x y z (fractional)
Sc  0.000  0.000  0.500
Sc  0.000  0.500  0.000
Sc  0.500  0.000  0.000
Sc  0.500  0.500  0.500
Al  0.000  0.238  0.238
Al  0.000  0.762  0.762
Al  0.189  0.500  0.689
Al  0.238  0.000  0.238
Al  0.500  0.189  0.689
Al  0.500  0.811  0.311
Al  0.762  0.000  0.762
Al  0.811  0.500  0.311
Fe  0.500  0.500  0.000